Starting from DFT lattice parameters and positions (GGA-PBE), the powder XRD pattern of K2ScTlF6 was calculated for Cu Kα X-rays.
Intensities are scaled so that the largest is 100.

Principal peaks in the range 10° ≤ 2θ ≤ 90°, by angle:
hkl 1 1 1, d 5.397, intensity 38; hkl 2 0 0, d 4.674, intensity 57; hkl 2 2 0, d 3.305, intensity 100; hkl 3 1 1, d 2.818, intensity 39; hkl 4 0 0, d 2.337, intensity 41; hkl 4 2 2, d 1.908, intensity 38

Crystal structure
```
data_K2ScTlF6
_chemical_formula_sum 'K8 Sc4 Tl4 F24'
_space_group_name_H-M_alt 'F m -3 m'
_space_group_IT_number 225
_space_group_name_Hall '-F 4 2 3'
_cell_length_a 9.347
_cell_length_b 9.347
_cell_length_c 9.347
_cell_angle_alpha 90.00
_cell_angle_beta 90.00
_cell_angle_gamma 90.00
loop_
_atom_site_label
_atom_site_type_symbol
_atom_site_fract_x
_atom_site_fract_y
_atom_site_fract_z
K1 K 0.250 0.250 0.250
Sc1 Sc 0.000 0.000 0.000
Tl1 Tl 0.000 0.000 0.500
F1 F 0.000 0.000 0.217
```


Starting from DFT lattice parameters and positions (GGA-PBE), the powder XRD pattern of SrAu2F12 was calculated for Cu Kα X-rays.
Intensities are scaled so that the largest is 100.

Principal peaks in the range 10° ≤ 2θ ≤ 90°, by angle:
hkl 2 0 0, d 5.185, intensity 64; hkl 2 2 0, d 3.666, intensity 100; hkl 4 2 2, d 2.117, intensity 47; hkl 4 4 0, d 1.833, intensity 19; hkl 6 2 0, d 1.640, intensity 21; hkl 6 4 2, d 1.386, intensity 24

Crystal structure
```
data_SrAu2F12
_chemical_formula_sum 'Sr4 Au8 F48'
_space_group_name_H-M_alt 'P m -3 m'
_space_group_IT_number 221
_space_group_name_Hall '-P 4 2 3'
_cell_length_a 10.370
_cell_length_b 10.370
_cell_length_c 10.370
_cell_angle_alpha 90.00
_cell_angle_beta 90.00
_cell_angle_gamma 90.00
loop_
_atom_site_label
_atom_site_type_symbol
_atom_site_fract_x
_atom_site_fract_y
_atom_site_fract_z
Sr1 Sr 0.000 0.000 0.000
Sr2 Sr 0.000 0.000 0.500
Au1 Au 0.251 0.251 0.251
F1 F 0.123 0.123 0.312
F2 F 0.189 0.375 0.375
```


Starting from DFT lattice parameters and positions (GGA-PBE), the powder XRD pattern of CePaO4 was calculated for Cu Kα X-rays.
Intensities are scaled so that the largest is 100.

Principal peaks in the range 10° ≤ 2θ ≤ 90°, by angle:
hkl 1 1 2, d 3.167, intensity 100; hkl 2 0 0, d 2.751, intensity 23; hkl 2 2 0, d 1.945, intensity 17; hkl 2 0 4, d 1.936, intensity 34; hkl 3 1 2, d 1.658, intensity 31; hkl 1 1 6, d 1.647, intensity 15

Crystal structure
```
data_CePaO4
_chemical_formula_sum 'Ce4 Pa4 O16'
_space_group_name_H-M_alt 'I 41/a m d'
_space_group_IT_number 141
_cell_length_a 5.502
_cell_length_b 5.502
_cell_length_c 10.904
_cell_angle_alpha 90.00
_cell_angle_beta 90.00
_cell_angle_gamma 90.00
loop_
_space_group_symop_operation_xyz
'x,y,z'
'-x,-y,-z'
'-y+1/4,x+3/4,z+1/4'
'y+1/4,-x+3/4,-z+1/4'
'-x+1/2,-y,z+1/2'
'x+1/2,y,-z+1/2'
'y+1/4,-x+1/4,z+3/4'
'-y+1/4,x+1/4,-z+3/4'
'x,-y,-z'
'-x,y,z'
'-y+1/4,-x+1/4,-z+3/4'
'y+1/4,x+1/4,z+3/4'
'-x+1/2,y,-z+1/2'
'x+1/2,-y,z+1/2'
'y+1/4,x+3/4,-z+1/4'
'-y+1/4,-x+3/4,z+1/4'
'x+1/2,y+1/2,z+1/2'
'-x+1/2,-y+1/2,-z+1/2'
'-y+3/4,x+1/4,z+3/4'
'y+3/4,-x+1/4,-z+3/4'
'-x,-y+1/2,z'
'x,y+1/2,-z'
'y+3/4,-x+3/4,z+1/4'
'-y+3/4,x+3/4,-z+1/4'
'x+1/2,-y+1/2,-z+1/2'
'-x+1/2,y+1/2,z+1/2'
'-y+3/4,-x+3/4,-z+1/4'
'y+3/4,x+3/4,z+1/4'
'-x,y+1/2,-z'
'x,-y+1/2,z'
'y+3/4,x+1/4,-z+3/4'
'-y+3/4,-x+1/4,z+3/4'
loop_
_atom_site_label
_atom_site_type_symbol
_atom_site_fract_x
_atom_site_fract_y
_atom_site_fract_z
Ce1 Ce 0.000 0.250 0.375
Pa1 Pa 0.000 0.250 0.875
O1 O 0.237 0.000 0.000
```


Starting from DFT lattice parameters and positions (GGA-PBE), the powder XRD pattern of LiHoTl2 was calculated for Cu Kα X-rays.
Intensities are scaled so that the largest is 100.

Principal peaks in the range 10° ≤ 2θ ≤ 90°, by angle:
hkl 1 1 1, d 4.235, intensity 18; hkl 2 0 0, d 3.668, intensity 20; hkl 2 2 0, d 2.594, intensity 100; hkl 4 0 0, d 1.834, intensity 18; hkl 4 2 2, d 1.497, intensity 38; hkl 6 2 0, d 1.160, intensity 17

Crystal structure
```
data_LiHoTl2
_chemical_formula_sum 'Li4 Ho4 Tl8'
_space_group_name_H-M_alt 'F m -3 m'
_space_group_IT_number 225
_space_group_name_Hall '-F 4 2 3'
_cell_length_a 7.336
_cell_length_b 7.336
_cell_length_c 7.336
_cell_angle_alpha 90.00
_cell_angle_beta 90.00
_cell_angle_gamma 90.00
loop_
_atom_site_label
_atom_site_type_symbol
_atom_site_fract_x
_atom_site_fract_y
_atom_site_fract_z
Li1 Li 0.000 0.000 0.000
Ho1 Ho 0.000 0.000 0.500
Tl1 Tl 0.250 0.250 0.250
```


Starting from DFT lattice parameters and positions (GGA-PBE), the powder XRD pattern of La2Ti2O7 was calculated for Cu Kα X-rays.
Intensities are scaled so that the largest is 100.

Principal peaks in the range 10° ≤ 2θ ≤ 90°, by angle:
hkl 1 1 1, d 6.055, intensity 21; hkl 2 2 2, d 3.027, intensity 100; hkl 4 0 0, d 2.622, intensity 28; hkl 3 3 1, d 2.406, intensity 20; hkl 4 4 0, d 1.854, intensity 48; hkl 6 2 2, d 1.581, intensity 41

Crystal structure
a b c (Å): 10.487 10.487 10.487
angles (deg): 90.00 90.00 90.00
Space group Fd-3m (No. 227, origin choice 2)
Unique sites:
La 0.000 0.000 0.000
Ti 0.000 0.000 0.500
O 0.073 0.375 0.875
O 0.125 0.125 0.125


Starting from DFT lattice parameters and positions (GGA-PBE), the powder XRD pattern of NaSrP3O9 was calculated for Cu Kα X-rays.
Intensities are scaled so that the largest is 100.

Principal peaks in the range 10° ≤ 2θ ≤ 90°, by angle:
hkl 1 0 0, d 6.770, intensity 82; hkl 0 2 0, d 3.586, intensity 84; hkl 1 1 2, d 3.413, intensity 95; hkl 1 2 0, d 3.324, intensity 55; hkl 0 1 -2, d 3.276, intensity 76; hkl 2 0 -1, d 2.938, intensity 100

Crystal structure
```
data_NaSrP3O9
_chemical_formula_sum 'Na2 Sr2 P6 O18'
_space_group_name_H-M_alt 'P -1'
_space_group_IT_number 2
_cell_length_a 6.906
_cell_length_b 7.258
_cell_length_c 7.845
_cell_angle_alpha 83.83
_cell_angle_beta 80.51
_cell_angle_gamma 82.77
loop_
_space_group_symop_operation_xyz
'x,y,z'
'-x,-y,-z'
loop_
_atom_site_label
_atom_site_type_symbol
_atom_site_fract_x
_atom_site_fract_y
_atom_site_fract_z
Na1 Na 0.034 0.131 0.158
Sr1 Sr 0.489 0.768 0.857
P1 P 0.103 0.620 0.225
P2 P 0.299 0.836 0.443
P3 P 0.334 0.289 0.772
O1 O 0.131 0.353 0.699
O2 O 0.147 0.764 0.074
O3 O 0.163 0.418 0.204
O4 O 0.187 0.671 0.393
O5 O 0.249 0.843 0.636
O6 O 0.272 0.009 0.323
O7 O 0.321 0.115 0.897
O8 O 0.412 0.445 0.842
O9 O 0.468 0.247 0.588
```


Starting from DFT lattice parameters and positions (GGA-PBE), the powder XRD pattern of KGd2CuSe4 was calculated for Cu Kα X-rays.
Intensities are scaled so that the largest is 100.

Principal peaks in the range 10° ≤ 2θ ≤ 90°, by angle:
hkl 0 2 1, d 6.382, intensity 76; hkl 0 2 3, d 3.998, intensity 43; hkl 1 3 1, d 3.058, intensity 60; hkl 1 3 2, d 2.873, intensity 100; hkl 0 2 5, d 2.686, intensity 45; hkl 1 5 3, d 2.112, intensity 72

Crystal structure
```
data_KGd2CuSe4
_chemical_formula_sum 'K4 Gd8 Cu4 Se16'
_space_group_name_H-M_alt 'C m c m'
_space_group_IT_number 63
_space_group_name_Hall '-C 2c 2'
_cell_length_a 4.166
_cell_length_b 14.213
_cell_length_c 14.506
_cell_angle_alpha 90.00
_cell_angle_beta 90.00
_cell_angle_gamma 90.00
loop_
_atom_site_label
_atom_site_type_symbol
_atom_site_fract_x
_atom_site_fract_y
_atom_site_fract_z
K1 K 0.000 0.111 0.250
Gd1 Gd 0.000 0.365 0.064
Cu1 Cu 0.000 0.160 0.750
Se1 Se 0.000 0.000 0.000
Se2 Se 0.000 0.266 0.613
Se3 Se 0.000 0.435 0.250
```


Starting from DFT lattice parameters and positions (GGA-PBE), the powder XRD pattern of LuGePt was calculated for Cu Kα X-rays.
Intensities are scaled so that the largest is 100.

Principal peaks in the range 10° ≤ 2θ ≤ 90°, by angle:
hkl 1 1 1, d 3.303, intensity 26; hkl 1 1 2, d 2.638, intensity 39; hkl 2 0 2, d 2.550, intensity 40; hkl 2 1 1, d 2.540, intensity 100; hkl 0 1 3, d 2.186, intensity 60; hkl 0 2 0, d 2.167, intensity 40

Crystal structure
```
data_LuGePt
_chemical_formula_sum 'Lu4 Ge4 Pt4'
_space_group_name_H-M_alt 'P n m a'
_space_group_IT_number 62
_cell_length_a 6.884
_cell_length_b 4.334
_cell_length_c 7.594
_cell_angle_alpha 90.00
_cell_angle_beta 90.00
_cell_angle_gamma 90.00
loop_
_space_group_symop_operation_xyz
'x,y,z'
'-x,-y,-z'
'-x+1/2,-y,z+1/2'
'x+1/2,y,-z+1/2'
'x+1/2,-y+1/2,-z+1/2'
'-x+1/2,y+1/2,z+1/2'
'-x,y+1/2,-z'
'x,-y+1/2,z'
loop_
_atom_site_label
_atom_site_type_symbol
_atom_site_fract_x
_atom_site_fract_y
_atom_site_fract_z
Lu1 Lu 0.003 0.250 0.203
Ge1 Ge 0.191 0.250 0.590
Pt1 Pt 0.207 0.750 0.416
```


Starting from DFT lattice parameters and positions (GGA-PBE), the powder XRD pattern of Rb2Ba8LiSb6O2 was calculated for Cu Kα X-rays.
Intensities are scaled so that the largest is 100.

Principal peaks in the range 10° ≤ 2θ ≤ 90°, by angle:
hkl 1 2 0, d 3.383, intensity 75; hkl -2 1 2, d 3.335, intensity 100; hkl 2 -1 1, d 3.300, intensity 92; hkl 1 2 -3, d 3.229, intensity 59; hkl 1 3 -2, d 2.928, intensity 69; hkl 3 1 -2, d 2.897, intensity 61

Crystal structure
```
data_Rb2Ba8LiSb6O2
_chemical_formula_sum 'Rb2 Ba8 Li1 Sb6 O2'
_space_group_name_H-M_alt 'P 1'
_space_group_IT_number 1
_cell_length_a 9.200
_cell_length_b 9.335
_cell_length_c 10.298
_cell_angle_alpha 114.01
_cell_angle_beta 115.45
_cell_angle_gamma 90.98
loop_
_space_group_symop_operation_xyz
'x,y,z'
loop_
_atom_site_label
_atom_site_type_symbol
_atom_site_fract_x
_atom_site_fract_y
_atom_site_fract_z
Rb1 Rb 0.000 0.000 0.000
Rb2 Rb 0.432 0.425 0.909
Ba1 Ba 0.182 0.975 0.681
Ba2 Ba 0.295 0.792 0.290
Ba3 Ba 0.483 0.307 0.292
Ba4 Ba 0.504 0.689 0.691
Ba5 Ba 0.689 0.199 0.692
Ba6 Ba 0.840 0.061 0.336
Ba7 Ba 0.984 0.528 0.712
Ba8 Ba 0.998 0.493 0.303
Li1 Li 0.663 0.712 0.182
Sb1 Sb 0.112 0.369 0.994
Sb2 Sb 0.250 0.244 0.484
Sb3 Sb 0.407 0.875 0.017
Sb4 Sb 0.605 0.102 0.990
Sb5 Sb 0.744 0.756 0.491
Sb6 Sb 0.847 0.635 0.010
O1 O 0.244 0.739 0.494
O2 O 0.750 0.281 0.508
```


Starting from DFT lattice parameters and positions (GGA-PBE), the powder XRD pattern of TlPO4 was calculated for Cu Kα X-rays.
Intensities are scaled so that the largest is 100.

Principal peaks in the range 10° ≤ 2θ ≤ 90°, by angle:
hkl 0 1 1, d 4.360, intensity 29; hkl 1 0 -2, d 3.935, intensity 55; hkl 0 0 4, d 3.649, intensity 54; hkl 0 1 3, d 3.330, intensity 31; hkl 1 1 1, d 3.187, intensity 100; hkl 1 1 -3, d 2.712, intensity 34

Crystal structure
```
data_TlPO4
_chemical_formula_sum 'Tl4 P4 O16'
_space_group_name_H-M_alt 'P 1 21/c 1'
_space_group_IT_number 14
_cell_length_a 4.671
_cell_length_b 4.569
_cell_length_c 14.596
_cell_angle_alpha 90.00
_cell_angle_beta 90.19
_cell_angle_gamma 90.00
loop_
_space_group_symop_operation_xyz
'x,y,z'
'-x,-y,-z'
'-x,y+1/2,-z+1/2'
'x,-y+1/2,z+1/2'
loop_
_atom_site_label
_atom_site_type_symbol
_atom_site_fract_x
_atom_site_fract_y
_atom_site_fract_z
Tl1 Tl 0.237 0.015 0.363
P1 P 0.256 0.018 0.124
O1 O 0.053 0.650 0.692
O2 O 0.075 0.226 0.062
O3 O 0.434 0.703 0.567
O4 O 0.451 0.201 0.190
```